Simulated PXRD pattern of Mg6BiPt2 for Cu Kα (λ = 1.5418 Å), from a structure optimized by DFT (PBE).
Lines closer than 0.1° are merged.

Top 12 peaks for 2θ = 10–80°, in order of rising 2θ:
(0 0 2), 17.5°, 5.061 Å, rel. 57
(0 2 0), 19.5°, 4.550 Å, rel. 24
(2 0 0), 20.7°, 4.285 Å, rel. 100
(1 2 1), 23.8°, 3.735 Å, rel. 41
(2 0 2), 27.3°, 3.270 Å, rel. 27
(1 0 3), 28.4°, 3.139 Å, rel. 29
(2 1 3), 35.3°, 2.545 Å, rel. 32
(1 3 2), 36.1°, 2.490 Å, rel. 70
(2 3 1), 37.4°, 2.404 Å, rel. 46
(1 1 4), 38.4°, 2.345 Å, rel. 27
(3 0 3), 41.4°, 2.180 Å, rel. 28
(1 3 4), 48.0°, 1.895 Å, rel. 50

Crystal structure
Unit cell a=8.5697 b=9.1009 c=10.1214 alpha=90.00 beta=90.00 gamma=90.00
Space group Immm (No. 71)
Inequivalent atoms, fractional coordinates:
Mg: 0.0000 0.2282 0.2474 [8 per cell]
Mg: 0.1867 0.5000 0.1570 [8 per cell]
Mg: 0.2030 0.3169 0.5000 [8 per cell]
Bi: 0.0000 0.0000 0.0000 [2 per cell]
Bi: 0.0000 0.0000 0.5000 [2 per cell]
Pt: 0.0000 0.3279 0.0000 [4 per cell]
Pt: 0.0000 0.5000 0.3634 [4 per cell]